LiMn2Fe: calculated powder diffractogram (Cu Kα), based on the PBE geometry in Alexandria.
Kinematic intensities with the Lorentz-polarization factor, no thermal factor.

Cell and atoms:
```
LiMn2Fe
1.0
2.7195 0.0000 0.0000
0.0000 4.0398 0.0000
0.0000 0.0000 8.5048
Li Mn Fe
2 4 2
Direct
0.0000 0.0000 0.0000 Li
0.5000 0.5000 0.0000 Li
0.0000 0.0000 0.4939 Mn
0.0000 0.5000 0.2661 Mn
0.5000 0.0000 0.2661 Mn
0.5000 0.5000 0.4939 Mn
0.0000 0.5000 0.7356 Fe
0.5000 0.0000 0.7356 Fe
```

Principal peaks in the range 10 to 80 degrees two-theta, low angle first:
hkl  Position (°2θ)  I/Imax
0 0 1  10.40  1000
0 0 2  20.89  146
0 0 4  42.52  219
0 2 0  44.87  205
1 1 2  45.52  766
0 2 4  63.53  119